Computed X-ray diffraction stick pattern
Compound: TaTc2Se
Radiation: Cu Kα (weighted mean of Kα1 and Kα2)
Structure: DFT lattice parameters and positions (GGA-PBE)
Lines closer than 0.1° are merged.

Structure:
Unit cell a=3.168 b=3.168 c=6.302 alpha=90.00 beta=90.00 gamma=90.00
Fractional coordinates of all 4 atoms:
Ta 0.000 0.000 0.000
Tc 0.500 0.500 0.250
Tc 0.500 0.500 0.750
Se 0.000 0.000 0.500

The 10 most intense peaks (2θ from 5° to 70°), sorted by position:
- 2θ 14.05, rel. 14
- 2θ 28.17, rel. 2
- 2θ 31.61, rel. 9
- 2θ 40.26, rel. 50
- 2θ 40.37, rel. 100
- 2θ 42.84, rel. 4
- 2θ 52.25, rel. 2
- 2θ 58.24, rel. 17
- 2θ 58.59, rel. 8
- 2θ 67.79, rel. 2

Computed X-ray diffraction stick pattern
Compound: Dy2Mg
Radiation: Cu Kα (weighted mean of Kα1 and Kα2)
Structure: DFT lattice parameters and positions (GGA-PBE)
Lines closer than 0.1° are merged.

Structure:
Unit cell a=3.659 b=3.659 c=12.864 alpha=90.00 beta=90.00 gamma=90.00
Fractional coordinates of all 6 atoms:
Dy 0.000 0.000 0.000
Dy 0.000 0.000 0.312
Dy 0.000 0.000 0.688
Dy 0.500 0.500 0.500
Mg 0.500 0.500 0.154
Mg 0.500 0.500 0.846

The 10 most intense peaks (2θ from 5° to 70°), sorted by position:
- 2θ 6.87, rel. 14
- 2θ 20.71, rel. 10
- 2θ 24.32, rel. 16
- 2θ 25.30, rel. 12
- 2θ 28.05, rel. 14
- 2θ 32.16, rel. 100
- 2θ 34.67, rel. 44
- 2θ 49.84, rel. 16
- 2θ 55.67, rel. 16
- 2θ 60.56, rel. 33

Computed X-ray diffraction stick pattern
Compound: NaSi2Pt5
Radiation: Cu Kα (weighted mean of Kα1 and Kα2)
Structure: DFT lattice parameters and positions (GGA-PBE)
Lines closer than 0.1° are merged.

Structure:
Unit cell a=3.830 b=7.024 c=9.948 alpha=90.00 beta=90.00 gamma=90.00
Fractional coordinates of all 16 atoms:
Na 0.000 0.000 0.000
Na 0.500 0.500 0.500
Si 0.000 0.500 0.243
Si 0.000 0.500 0.757
Si 0.500 0.000 0.257
Si 0.500 0.000 0.743
Pt 0.000 0.202 0.351
Pt 0.000 0.202 0.649
Pt 0.000 0.500 0.000
Pt 0.000 0.798 0.351
Pt 0.000 0.798 0.649
Pt 0.500 0.000 0.500
Pt 0.500 0.298 0.149
Pt 0.500 0.298 0.851
Pt 0.500 0.702 0.149
Pt 0.500 0.702 0.851

The 10 most intense peaks (2θ from 5° to 70°), sorted by position:
- 2θ 15.44, rel. 45
- 2θ 25.36, rel. 10
- 2θ 31.17, rel. 11
- 2θ 35.83, rel. 100
- 2θ 44.40, rel. 11
- 2θ 44.65, rel. 21
- 2θ 45.38, rel. 33
- 2θ 47.51, rel. 32
- 2θ 67.21, rel. 14
- 2θ 69.45, rel. 11

Computed X-ray diffraction stick pattern
Compound: Zr2GeHRh
Radiation: Cu Kα (weighted mean of Kα1 and Kα2)
Structure: DFT lattice parameters and positions (GGA-PBE)
Lines closer than 0.1° are merged.

Structure:
Unit cell a=4.391 b=4.391 c=3.905 alpha=90.00 beta=90.00 gamma=90.00
Fractional coordinates of all 5 atoms:
Zr 0.000 0.500 0.000
Zr 0.500 0.000 0.000
Ge 0.000 0.000 0.500
H 0.500 0.500 0.000
Rh 0.500 0.500 0.500

The 7 most intense peaks (2θ from 5° to 70°), sorted by position:
- 2θ 20.22, rel. 2
- 2θ 30.64, rel. 1
- 2θ 36.99, rel. 100
- 2θ 41.11, rel. 38
- 2θ 46.52, rel. 13
- 2θ 59.55, rel. 12
- 2θ 63.80, rel. 20

Computed X-ray diffraction stick pattern
Compound: Li3LaC4O12
Radiation: Cu Kα (weighted mean of Kα1 and Kα2)
Structure: DFT lattice parameters and positions (GGA-PBE)
Lines closer than 0.1° are merged.

Structure:
Unit cell a=6.236 b=6.236 c=6.236 alpha=102.18 beta=102.18 gamma=102.18
Fractional coordinates of all 20 atoms:
Li 0.000 0.553 0.447
Li 0.447 0.000 0.553
Li 0.553 0.447 0.000
La 0.000 0.000 0.000
C 0.052 0.500 0.948
C 0.500 0.500 0.500
C 0.500 0.948 0.052
C 0.948 0.052 0.500
O 0.042 0.626 0.808
O 0.080 0.920 0.500
O 0.192 0.374 0.958
O 0.368 0.632 0.500
O 0.374 0.958 0.192
O 0.500 0.080 0.920
O 0.500 0.368 0.632
O 0.626 0.808 0.042
O 0.632 0.500 0.368
O 0.808 0.042 0.626
O 0.920 0.500 0.080
O 0.958 0.192 0.374

The 10 most intense peaks (2θ from 5° to 70°), sorted by position:
- 2θ 15.08, rel. 100
- 2θ 18.28, rel. 60
- 2θ 24.12, rel. 39
- 2θ 30.17, rel. 35
- 2θ 30.44, rel. 72
- 2θ 31.95, rel. 20
- 2θ 35.74, rel. 43
- 2θ 37.73, rel. 29
- 2θ 40.22, rel. 41
- 2θ 49.72, rel. 17

Computed X-ray diffraction stick pattern
Compound: PrTcN3
Radiation: Cu Kα (weighted mean of Kα1 and Kα2)
Structure: DFT lattice parameters and positions (GGA-PBE)
Lines closer than 0.1° are merged.

Structure:
Unit cell a=7.661 b=7.661 c=5.028 alpha=92.32 beta=92.32 gamma=92.74
Fractional coordinates of all 20 atoms:
Pr 0.112 0.329 0.349
Pr 0.329 0.112 0.849
Pr 0.671 0.888 0.151
Pr 0.888 0.671 0.651
Tc 0.199 0.801 0.250
Tc 0.451 0.549 0.750
Tc 0.549 0.451 0.250
Tc 0.801 0.199 0.750
N 0.026 0.229 0.876
N 0.204 0.640 0.520
N 0.229 0.026 0.376
N 0.327 0.433 0.063
N 0.360 0.796 0.980
N 0.433 0.327 0.563
N 0.567 0.673 0.437
N 0.640 0.204 0.020
N 0.673 0.567 0.937
N 0.771 0.974 0.624
N 0.796 0.360 0.480
N 0.974 0.771 0.124

The 10 most intense peaks (2θ from 5° to 70°), sorted by position:
- 2θ 21.59, rel. 35
- 2θ 25.53, rel. 32
- 2θ 26.58, rel. 32
- 2θ 28.75, rel. 63
- 2θ 29.98, rel. 100
- 2θ 30.93, rel. 44
- 2θ 31.24, rel. 27
- 2θ 33.98, rel. 30
- 2θ 36.61, rel. 42
- 2θ 52.24, rel. 33

Computed X-ray diffraction stick pattern
Compound: POsRuS
Radiation: Cu Kα (weighted mean of Kα1 and Kα2)
Structure: DFT lattice parameters and positions (GGA-PBE)
Lines closer than 0.1° are merged.

Structure:
Unit cell a=2.975 b=2.977 c=12.814 alpha=90.00 beta=90.00 gamma=90.00
Fractional coordinates of all 8 atoms:
P 0.000 0.000 0.000
P 0.500 0.500 0.500
Os 0.000 0.000 0.607
Os 0.500 0.500 0.107
Ru 0.000 0.000 0.394
Ru 0.500 0.500 0.894
S 0.000 0.500 0.749
S 0.500 0.000 0.249

The 10 most intense peaks (2θ from 5° to 70°), sorted by position:
- 2θ 13.82, rel. 40
- 2θ 27.85, rel. 30
- 2θ 30.85, rel. 100
- 2θ 36.81, rel. 45
- 2θ 42.32, rel. 10
- 2θ 42.98, rel. 40
- 2θ 45.36, rel. 19
- 2θ 46.78, rel. 75
- 2θ 51.99, rel. 38
- 2θ 62.41, rel. 19

Computed X-ray diffraction stick pattern
Compound: HoTl5Br8
Radiation: Cu Kα (weighted mean of Kα1 and Kα2)
Structure: DFT lattice parameters and positions (GGA-PBE)
Lines closer than 0.1° are merged.

Structure:
Unit cell a=8.569 b=8.570 c=9.250 alpha=113.40 beta=107.67 gamma=104.09
Fractional coordinates of all 14 atoms:
Ho 0.000 0.000 0.000
Tl 0.276 0.614 0.931
Tl 0.293 0.793 0.501
Tl 0.526 0.444 0.522
Tl 0.683 0.346 0.069
Tl 0.921 0.004 0.477
Br 0.057 0.290 0.322
Br 0.369 0.091 0.129
Br 0.379 0.228 0.707
Br 0.521 0.672 0.293
Br 0.621 0.858 0.871
Br 0.962 0.240 0.871
Br 0.968 0.735 0.678
Br 0.987 0.751 0.129

The 10 most intense peaks (2θ from 5° to 70°), sorted by position:
- 2θ 20.52, rel. 100
- 2θ 21.91, rel. 47
- 2θ 22.67, rel. 33
- 2θ 26.96, rel. 72
- 2θ 28.80, rel. 53
- 2θ 32.63, rel. 38
- 2θ 33.01, rel. 33
- 2θ 33.16, rel. 38
- 2θ 36.30, rel. 35
- 2θ 39.51, rel. 67

Computed X-ray diffraction stick pattern
Compound: LaZrTa3O11
Radiation: Cu Kα (weighted mean of Kα1 and Kα2)
Structure: DFT lattice parameters and positions (GGA-PBE)
Lines closer than 0.1° are merged.

Structure:
Unit cell a=6.341 b=6.341 c=12.598 alpha=90.12 beta=90.12 gamma=119.91
Fractional coordinates of all 32 atoms:
La 0.000 0.000 0.000
La 0.666 0.334 0.500
Zr 0.330 0.026 0.249
Zr 0.974 0.670 0.751
Ta 0.004 0.996 0.500
Ta 0.332 0.311 0.751
Ta 0.666 0.334 0.000
Ta 0.689 0.668 0.249
Ta 0.693 0.031 0.748
Ta 0.969 0.307 0.252
O 0.002 0.009 0.792
O 0.070 0.653 0.249
O 0.088 0.412 0.749
O 0.273 0.236 0.595
O 0.278 0.042 0.414
O 0.329 0.423 0.251
O 0.347 0.930 0.751
O 0.384 0.096 0.084
O 0.395 0.301 0.904
O 0.577 0.671 0.749
O 0.588 0.912 0.251
O 0.663 0.332 0.708
O 0.668 0.337 0.292
O 0.699 0.605 0.096
O 0.714 0.109 0.905
O 0.764 0.727 0.405
O 0.769 0.045 0.594
O 0.891 0.286 0.095
O 0.904 0.616 0.916
O 0.955 0.231 0.406
O 0.958 0.722 0.586
O 0.991 0.998 0.208

The 10 most intense peaks (2θ from 5° to 70°), sorted by position:
- 2θ 16.13, rel. 74
- 2θ 21.47, rel. 31
- 2θ 28.34, rel. 71
- 2θ 29.03, rel. 100
- 2θ 31.55, rel. 72
- 2θ 31.62, rel. 71
- 2θ 35.53, rel. 22
- 2θ 49.79, rel. 50
- 2θ 52.32, rel. 23
- 2θ 58.34, rel. 36

Computed X-ray diffraction stick pattern
Compound: TmTeI
Radiation: Cu Kα (weighted mean of Kα1 and Kα2)
Structure: DFT lattice parameters and positions (GGA-PBE)
Lines closer than 0.1° are merged.

Structure:
Unit cell a=4.172 b=4.172 c=25.026 alpha=90.00 beta=90.00 gamma=90.00
Fractional coordinates of all 12 atoms:
Tm 0.000 0.000 0.166
Tm 0.000 0.000 0.834
Tm 0.500 0.500 0.334
Tm 0.500 0.500 0.666
Te 0.000 0.000 0.294
Te 0.000 0.000 0.706
Te 0.500 0.500 0.206
Te 0.500 0.500 0.794
I 0.000 0.500 0.076
I 0.000 0.500 0.424
I 0.500 0.000 0.576
I 0.500 0.000 0.924

The 10 most intense peaks (2θ from 5° to 70°), sorted by position:
- 2θ 7.06, rel. 100
- 2θ 23.85, rel. 45
- 2θ 28.53, rel. 21
- 2θ 31.15, rel. 73
- 2θ 33.00, rel. 40
- 2θ 37.34, rel. 58
- 2θ 38.93, rel. 43
- 2θ 43.38, rel. 40
- 2θ 55.56, rel. 18
- 2θ 59.69, rel. 38

Computed X-ray diffraction stick pattern
Compound: Dy2HfSc4
Radiation: Cu Kα (weighted mean of Kα1 and Kα2)
Structure: DFT lattice parameters and positions (GGA-PBE)
Lines closer than 0.1° are merged.

Structure:
Unit cell a=5.813 b=3.356 c=18.671 alpha=90.00 beta=95.95 gamma=90.00
Fractional coordinates of all 14 atoms:
Dy 0.000 0.000 0.000
Dy 0.099 0.000 0.295
Dy 0.500 0.500 0.000
Dy 0.599 0.500 0.295
Hf 0.192 0.000 0.579
Hf 0.692 0.500 0.579
Sc 0.283 0.000 0.852
Sc 0.315 0.500 0.448
Sc 0.383 0.000 0.149
Sc 0.403 0.500 0.712
Sc 0.783 0.500 0.852
Sc 0.815 0.000 0.448
Sc 0.883 0.500 0.149
Sc 0.903 0.000 0.712

The 10 most intense peaks (2θ from 5° to 70°), sorted by position:
- 2θ 14.31, rel. 58
- 2θ 19.12, rel. 25
- 2θ 30.80, rel. 77
- 2θ 33.79, rel. 42
- 2θ 34.81, rel. 100
- 2θ 35.61, rel. 96
- 2θ 45.08, rel. 27
- 2θ 47.63, rel. 22
- 2θ 54.70, rel. 34
- 2θ 65.86, rel. 35

Computed X-ray diffraction stick pattern
Compound: La3TbNd8
Radiation: Cu Kα (weighted mean of Kα1 and Kα2)
Structure: DFT lattice parameters and positions (GGA-PBE)
Lines closer than 0.1° are merged.

Structure:
Unit cell a=8.907 b=8.907 c=8.907 alpha=135.95 beta=98.76 gamma=97.41
Fractional coordinates of all 12 atoms:
La 0.000 0.000 0.000
La 0.255 0.755 0.500
La 0.745 0.245 0.500
Tb 0.500 0.500 0.000
Nd 0.085 0.252 0.833
Nd 0.259 0.243 0.501
Nd 0.259 0.757 0.016
Nd 0.418 0.252 0.167
Nd 0.582 0.748 0.833
Nd 0.741 0.243 0.984
Nd 0.741 0.757 0.499
Nd 0.915 0.748 0.167

The 10 most intense peaks (2θ from 5° to 70°), sorted by position:
- 2θ 15.30, rel. 17
- 2θ 30.41, rel. 36
- 2θ 30.77, rel. 100
- 2θ 30.89, rel. 17
- 2θ 34.53, rel. 40
- 2θ 43.89, rel. 19
- 2θ 49.71, rel. 23
- 2θ 54.26, rel. 18
- 2θ 54.91, rel. 20
- 2θ 64.07, rel. 25

Computed X-ray diffraction stick pattern
Compound: TmSc3Ru3
Radiation: Cu Kα (weighted mean of Kα1 and Kα2)
Structure: DFT lattice parameters and positions (GGA-PBE)
Lines closer than 0.1° are merged.

Structure:
Unit cell a=5.597 b=5.597 c=5.597 alpha=109.92 beta=109.92 gamma=109.92
Fractional coordinates of all 7 atoms:
Tm 0.000 0.000 0.000
Sc 0.174 0.589 0.589
Sc 0.589 0.174 0.589
Sc 0.589 0.589 0.174
Ru 0.093 0.093 0.587
Ru 0.093 0.587 0.093
Ru 0.587 0.093 0.093

The 10 most intense peaks (2θ from 5° to 70°), sorted by position:
- 2θ 19.71, rel. 75
- 2θ 34.08, rel. 68
- 2θ 34.69, rel. 19
- 2θ 39.32, rel. 100
- 2θ 40.03, rel. 76
- 2θ 44.36, rel. 27
- 2θ 44.84, rel. 10
- 2θ 57.37, rel. 21
- 2θ 65.41, rel. 12
- 2θ 67.95, rel. 12